Computed X-ray powder pattern of Pm3Tm4Bi4 for Cu Kα, from a DFT-relaxed cell (GGA-PBE, Alexandria).

Structural model:
Lattice parameters (Å, degrees): 11.340 7.432 7.432 33.79 90.00 90.00
Atoms (fractional coordinates):
Pm 0.000 0.000 0.000
Pm 0.350 0.078 0.078
Pm 0.650 0.078 0.078
Tm 0.000 0.302 0.302
Tm 0.242 0.778 0.778
Tm 0.500 0.379 0.379
Tm 0.758 0.778 0.778
Bi 0.000 0.658 0.658
Bi 0.219 0.440 0.440
Bi 0.500 0.708 0.708
Bi 0.781 0.440 0.440

Principal peaks in the range 2θ = 5–70°, in order of rising 2θ:
- 20.0 deg, I = 14
- 26.7 deg, I = 14
- 27.9 deg, I = 54
- 29.1 deg, I = 19
- 31.6 deg, I = 23
- 32.2 deg, I = 100
- 38.5 deg, I = 19
- 38.8 deg, I = 17
- 41.3 deg, I = 24
- 41.8 deg, I = 26